(1)
Theoretical X-ray powder pattern of Te2P2Pb3 for Cu Kα, from a cell relaxed with PBE.
No peak broadening, texture or thermal motion is included.

Atomic structure:
a = 7.8630 Å, b = 9.7481 Å, c = 5.5287 Å
α = 90.00°, β = 90.00°, γ = 90.00°
Element x y z (fractional)
Te  0.2500  0.0689  0.0277
Te  0.2500  0.4311  0.0277
Te  0.7500  0.5689  0.9723
Te  0.7500  0.9311  0.9723
P  0.2500  0.2500  0.6897
P  0.2500  0.7500  0.4743
P  0.7500  0.2500  0.5257
P  0.7500  0.7500  0.3103
Pb  0.0000  0.0000  0.5000
Pb  0.0000  0.5000  0.5000
Pb  0.2500  0.7500  0.9634
Pb  0.5000  0.0000  0.5000
Pb  0.5000  0.5000  0.5000
Pb  0.7500  0.2500  0.0366

Principal peaks in the range 2θ = 10–80°, by intensity:
| d_spacing | intensity |
| --- | --- |
| 3.204 | 100 |
| 2.764 | 36 |
| 3.060 | 36 |
| 3.656 | 34 |
| 2.677 | 32 |
| 2.639 | 32 |
| 3.003 | 25 |
| 1.940 | 22 |
| 4.874 | 19 |
| 2.051 | 18 |

(2)
Theoretical X-ray powder pattern of Te4PPb3 for Cu Kα, from a cell relaxed with PBE.
No peak broadening, texture or thermal motion is included.

Atomic structure:
a = 8.8888 Å, b = 8.8888 Å, c = 8.8888 Å
α = 121.11°, β = 121.11°, γ = 88.08°
Element x y z (fractional)
Te  0.0051  0.5051  0.8388
Te  0.1663  0.0051  0.5000
Te  0.3337  0.8337  0.8388
Te  0.4949  0.3337  0.5000
Te  0.5051  0.6663  0.5000
Te  0.6663  0.1663  0.1612
Te  0.8337  0.9949  0.5000
Te  0.9949  0.4949  0.1612
P  0.0000  0.0000  0.0000
P  0.5000  0.5000  0.0000
Pb  0.1549  0.3451  0.5000
Pb  0.2500  0.2500  0.0000
Pb  0.3451  0.8451  0.1902
Pb  0.6549  0.1549  0.8098
Pb  0.7500  0.7500  0.0000
Pb  0.8451  0.6549  0.5000

Principal peaks in the range 2θ = 10–80°, by intensity:
| d_spacing | intensity |
| --- | --- |
| 2.880 | 100 |
| 2.763 | 47 |
| 1.898 | 25 |
| 4.442 | 18 |
| 1.516 | 16 |
| 1.481 | 16 |
| 1.335 | 12 |
| 3.090 | 12 |
| 1.915 | 12 |
| 2.090 | 10 |

(3)
Theoretical X-ray powder pattern of Ti2PPb for Cu Kα, from a cell relaxed with PBE.
No peak broadening, texture or thermal motion is included.

Atomic structure:
a = 5.8893 Å, b = 5.8893 Å, c = 5.8893 Å
α = 105.18°, β = 105.18°, γ = 118.45°
Element x y z (fractional)
Ti  0.0758  0.6250  0.9508
Ti  0.3750  0.3258  0.4508
Ti  0.6742  0.1250  0.0492
Ti  0.8750  0.9242  0.5492
P  0.0000  0.0000  0.0000
P  0.7500  0.2500  0.5000
Pb  0.2500  0.7500  0.5000
Pb  0.5000  0.5000  0.0000

Principal peaks in the range 2θ = 10–80°, by intensity:
| d_spacing | intensity |
| --- | --- |
| 2.589 | 100 |
| 2.826 | 78 |
| 4.610 | 72 |
| 2.530 | 72 |
| 1.809 | 66 |
| 3.578 | 39 |
| 2.218 | 26 |
| 1.789 | 23 |
| 1.389 | 23 |
| 1.272 | 20 |

(4)
Theoretical X-ray powder pattern of Tl2PPb2 for Cu Kα, from a cell relaxed with PBE.
No peak broadening, texture or thermal motion is included.

Atomic structure:
a = 6.4845 Å, b = 11.6026 Å, c = 4.0033 Å
α = 90.00°, β = 90.00°, γ = 90.00°
Element x y z (fractional)
Tl  0.1888  0.1752  0.0000
Tl  0.3112  0.6752  0.0000
Tl  0.6888  0.3248  0.0000
Tl  0.8112  0.8248  0.0000
P  0.0000  0.5000  0.0000
P  0.5000  0.0000  0.0000
Pb  0.2278  0.9098  0.5000
Pb  0.2722  0.4098  0.5000
Pb  0.7278  0.5902  0.5000
Pb  0.7722  0.0902  0.5000

Principal peaks in the range 2θ = 10–80°, by intensity:
| d_spacing | intensity |
| --- | --- |
| 2.937 | 100 |
| 2.648 | 38 |
| 3.242 | 30 |
| 3.295 | 21 |
| 1.597 | 17 |
| 1.741 | 16 |
| 2.311 | 16 |
| 2.002 | 14 |
| 2.462 | 13 |
| 1.534 | 13 |